# Pu4PaS5
Calculated powder diffraction line list, Cu Kα (weighted mean of Kα1 and Kα2). Input: the GGA-PBE geometry in Alexandria.
Neutral-atom scattering factors, no anomalous dispersion.

Structural model:
```
Pu4PaS5
1.0
-4.405 4.405 2.783
4.405 -4.405 2.783
4.405 4.405 -2.783
Pu Pa S
4 1 5
Cartesian
6.171 0.874 0.000 Pu
0.874 2.638 0.000 Pu
3.531 1.766 2.783 Pu
-1.766 3.531 2.783 Pu
0.000 0.000 2.783 Pa
0.000 0.000 0.000 S
3.524 1.763 0.000 S
2.641 -0.881 2.783 S
1.763 5.285 0.000 S
0.881 2.641 2.783 S
```

Peak list (9 most intense, 2θ from 10° to 90°, most intense first)
Position (°2θ)  Rel. int.
27.7  100.0
32.1  93.7
46.1  69.5
54.7  50.2
76.5  32.1
85.4  24.9
57.3  24.5
74.2  20.9
67.2  11.4

# Pu2PaS6
Calculated powder diffraction line list, Cu Kα (weighted mean of Kα1 and Kα2). Input: the GGA-PBE geometry in Alexandria.
Neutral-atom scattering factors, no anomalous dispersion.

Structural model:
```
Pu2PaS6
1.0
-2.290 3.240 6.851
2.290 -3.240 6.851
2.290 3.240 -6.851
Pu Pa S
2 1 6
Cartesian
0.000 0.000 2.305 Pu
0.000 0.000 11.397 Pu
0.000 0.000 6.851 Pa
2.290 1.632 -2.246 S
0.000 1.656 0.000 S
2.290 1.632 2.246 S
0.000 1.608 4.605 S
0.000 4.824 0.000 S
0.000 1.608 9.097 S
```

Peak list (12 most intense, 2θ from 10° to 90°, most intense first)
Position (°2θ)  Rel. int.
23.8  100.0
39.4  56.7
46.5  35.0
27.6  25.7
62.5  18.5
46.6  17.3
71.4  15.9
89.6  11.9
39.5  11.2
76.5  10.4
64.4  9.4
48.7  8.3